1.
Er4Te5C2: simulated PXRD pattern (Cu Kα), based on the PBE geometry in Alexandria.
Intensities are scaled so that the largest is 100.

Structural model:
```
Er4Te5C2
1.0
-2.1103 4.0575 8.9168
2.1103 -4.0575 8.9168
2.1103 4.0575 -8.9168
Er Te C
4 5 2
Direct
0.1820 0.1820 0.0000 Er
0.2322 0.5000 0.7322 Er
0.7678 0.5000 0.2678 Er
0.8180 0.8180 0.0000 Er
0.1013 0.3361 0.7652 Te
0.4291 0.6639 0.7652 Te
0.5000 0.0000 0.5000 Te
0.5709 0.3361 0.2348 Te
0.8987 0.6639 0.2348 Te
0.0363 0.0363 0.0000 C
0.9637 0.9637 0.0000 C
```

Peak list (12 most intense, 2θ from 15° to 90°, sorted by position)
2θ (°), d_spacing, I/Imax
18.50, 4.796, 27
25.81, 3.452, 31
30.07, 2.972, 56
30.98, 2.887, 100
36.49, 2.462, 20
39.86, 2.262, 61
42.85, 2.110, 24
44.67, 2.029, 19
47.31, 1.921, 21
53.23, 1.721, 22
54.78, 1.676, 18
71.95, 1.312, 16



2.
LaH9Ru2: simulated PXRD pattern (Cu Kα), based on the PBE geometry in Alexandria.
Intensities are scaled so that the largest is 100.

Structural model:
```
LaH9Ru2
1.0
-4.0920 4.0920 2.7077
4.0920 -4.0920 2.7077
4.0920 4.0920 -2.7077
La H Ru
2 18 4
Direct
0.3750 0.6250 0.7500 La
0.6250 0.3750 0.2500 La
0.1250 0.8750 0.2500 H
0.1627 0.2243 0.3313 H
0.1627 0.8314 0.9384 H
0.1686 0.6070 0.3313 H
0.1686 0.8373 0.5616 H
0.2243 0.1627 0.8313 H
0.2243 0.3930 0.0616 H
0.3930 0.2243 0.5616 H
0.3930 0.8314 0.1687 H
0.6070 0.1686 0.8313 H
0.6070 0.7757 0.4384 H
0.7757 0.6070 0.9384 H
0.7757 0.8373 0.1687 H
0.8314 0.1627 0.4384 H
0.8314 0.3930 0.6687 H
0.8373 0.1686 0.0616 H
0.8373 0.7757 0.6687 H
0.8750 0.1250 0.7500 H
0.0000 0.0000 0.0000 Ru
0.0000 0.0000 0.5000 Ru
0.0000 0.5000 0.0000 Ru
0.5000 0.0000 0.5000 Ru
```

Peak list (12 most intense, 2θ from 15° to 90°, sorted by position)
2θ (°), d_spacing, I/Imax
21.72, 4.092, 24
29.46, 3.032, 100
36.64, 2.453, 13
39.92, 2.258, 23
43.22, 2.093, 35
44.27, 2.046, 24
48.67, 1.871, 12
51.87, 1.763, 11
61.12, 1.516, 13
63.59, 1.463, 11
77.90, 1.226, 9
78.96, 1.213, 9



3.
Ni3Bi2S2: simulated PXRD pattern (Cu Kα), based on the PBE geometry in Alexandria.
Intensities are scaled so that the largest is 100.

Structural model:
```
Ni3Bi2S2
1.0
4.1054 0.0000 0.0000
0.0000 5.3843 0.0000
0.0000 0.0000 6.0104
Ni Bi S
3 2 2
Direct
0.0000 0.0000 0.0000 Ni
0.5000 0.2525 0.8277 Ni
0.5000 0.7475 0.8277 Ni
0.0000 0.0000 0.5729 Bi
0.0000 0.5000 0.0762 Bi
0.5000 0.0000 0.1200 S
0.5000 0.5000 0.5400 S
```

Peak list (12 most intense, 2θ from 15° to 90°, sorted by position)
2θ (°), d_spacing, I/Imax
21.65, 4.105, 26
22.17, 4.010, 52
29.73, 3.005, 23
31.18, 2.869, 100
33.28, 2.692, 20
37.07, 2.425, 50
40.05, 2.251, 43
44.12, 2.053, 25
45.22, 2.005, 43
53.68, 1.708, 26
58.16, 1.586, 17
65.02, 1.434, 28



4.
CePmHo2Bi4: simulated PXRD pattern (Cu Kα), based on the PBE geometry in Alexandria.
Intensities are scaled so that the largest is 100.

Structural model:
```
CePmHo2Bi4
1.0
7.8278 0.0000 0.0000
0.0000 4.5328 0.0000
-2.6174 0.0000 7.3972
Ce Pm Ho Bi
1 1 2 4
Direct
0.0000 0.0000 0.0000 Ce
0.0000 0.5000 0.5000 Pm
0.5000 0.0000 0.5000 Ho
0.5000 0.5000 0.0000 Ho
0.2576 0.0000 0.7530 Bi
0.2578 0.5000 0.2525 Bi
0.7424 0.0000 0.2470 Bi
0.7422 0.5000 0.7475 Bi
```

Peak list (12 most intense, 2θ from 15° to 90°, sorted by position)
2θ (°), d_spacing, I/Imax
24.07, 3.697, 4
27.87, 3.201, 100
39.82, 2.264, 78
49.27, 1.849, 21
49.40, 1.845, 7
57.58, 1.601, 13
65.11, 1.433, 19
65.21, 1.431, 18
72.25, 1.308, 21
72.43, 1.305, 7
85.76, 1.133, 5
85.96, 1.131, 4